Computed X-ray powder pattern
Compound: Lu2FeCoO6
Radiation: Cu Kα (λ = 1.5418 Å)
Structure: a crystal structure in the Materials Project, relaxed with GGA+U

Structural model:
```
data_Lu2FeCoO6
_space_group_name_H-M_alt 'P -1'
_space_group_IT_number 2
_cell_length_a 5.1907
_cell_length_b 5.5596
_cell_length_c 7.5058
_cell_angle_alpha 90.09
_cell_angle_beta 90.72
_cell_angle_gamma 91.13
loop_
_space_group_symop_operation_xyz
'x,y,z'
'-x,-y,-z'
loop_
_atom_site_label
_atom_site_type_symbol
_atom_site_fract_x
_atom_site_fract_y
_atom_site_fract_z
Lu1 Lu 0.0231 0.4260 0.2506
Lu2 Lu 0.4757 0.9220 0.2525
Fe1 Fe 0.0000 0.0000 0.5000
Fe2 Fe 0.5000 0.5000 0.0000
Co1 Co 0.0000 0.0000 0.0000
Co2 Co 0.5000 0.5000 0.5000
O1 O 0.1215 0.9556 0.7525
O2 O 0.1947 0.6868 0.0638
O3 O 0.1976 0.6925 0.4387
O4 O 0.3048 0.1880 0.0610
O5 O 0.3145 0.1995 0.4387
O6 O 0.3752 0.4544 0.7429
```

Main lines, in order of rising 2θ (15 to 90 degrees two-theta):
23.70°, d 3.754, I 54; 33.29°, d 2.692, I 52; 33.57°, d 2.669, I 100; 33.94°, d 2.641, I 50; 34.57°, d 2.595, I 48; 48.50°, d 1.877, I 41